Na2NpAgS4: calculated powder XRD pattern (Cu Kα (λ = 1.5418 Å)), based on a cell relaxed with PBE.
Lines closer than 0.1° are merged.

Most intense lines, 2θ from 5° to 70°, low angle first:
- 2θ 13.18, rel. 100, hkl 0 0 1
- 2θ 26.52, rel. 48, hkl 1 1 0
- 2θ 27.60, rel. 24, hkl 1 1 -1
- 2θ 31.70, rel. 71, hkl 1 1 1
- 2θ 32.89, rel. 32, hkl 2 0 -2
- 2θ 41.06, rel. 14, hkl 1 1 2
- 2θ 44.71, rel. 26, hkl 1 1 -3
- 2θ 47.92, rel. 23, hkl 3 1 -1
- 2θ 49.91, rel. 14, hkl 3 1 -2
- 2θ 57.01, rel. 19, hkl 2 2 -2

a = 6.4644 Å, b = 4.0146 Å, c = 7.0577 Å
α = 90.00°, β = 107.91°, γ = 90.00°
Positions (direct):
1 Na 0.0000 0.0000 0.0000
2 Na 0.5000 0.5000 0.0000
3 Np 0.0000 0.5000 0.5000
4 Ag 0.5000 0.0000 0.5000
5 S 0.2332 0.0000 0.7216
6 S 0.2367 0.5000 0.2697
7 S 0.7633 0.5000 0.7303
8 S 0.7668 0.0000 0.2784